Entry 1:
Theoretical X-ray powder pattern
Compound: La9Ce3Si8S32I4
Radiation: Cu Kα X-rays
Structure: a PBE-relaxed structure
Neutral-atom scattering factors, no anomalous dispersion.

Atomic structure:
```
data_La9Ce3Si8S32I4
_chemical_formula_sum 'La9 Ce3 Si8 S32 I4'
_cell_length_a 9.086
_cell_length_b 13.409
_cell_length_c 13.612
_cell_angle_alpha 64.69
_cell_angle_beta 80.83
_cell_angle_gamma 71.49
_symmetry_space_group_name_H-M 'P 1'
_symmetry_Int_Tables_number 1
loop_
_symmetry_equiv_pos_as_xyz
'x,y,z'
loop_
_atom_site_label
_atom_site_type_symbol
_atom_site_fract_x
_atom_site_fract_y
_atom_site_fract_z
La1 La 0.000 0.000 0.000
La2 La 0.059 0.544 0.026
La3 La 0.157 0.843 0.657
La4 La 0.224 0.172 0.258
La5 La 0.433 0.170 0.899
La6 La 0.500 0.500 0.499
La7 La 0.559 0.043 0.526
La8 La 0.657 0.343 0.157
La9 La 0.724 0.672 0.758
Ce1 Ce 0.099 0.300 0.631
Ce2 Ce 0.600 0.800 0.132
Ce3 Ce 0.932 0.669 0.400
Si1 Si 0.035 0.286 0.994
Si2 Si 0.122 0.557 0.662
Si3 Si 0.323 0.998 0.783
Si4 Si 0.332 0.345 0.375
Si5 Si 0.535 0.786 0.494
Si6 Si 0.622 0.056 0.163
Si7 Si 0.823 0.498 0.283
Si8 Si 0.833 0.845 0.875
S1 S 0.071 0.626 0.783
S2 S 0.071 0.789 0.916
S3 S 0.085 0.056 0.740
S4 S 0.085 0.217 0.873
S5 S 0.169 0.690 0.515
S6 S 0.221 0.475 0.435
S7 S 0.232 0.205 0.461
S8 S 0.240 0.321 0.015
S9 S 0.307 0.403 0.699
S10 S 0.313 0.398 0.205
S11 S 0.343 0.945 0.952
S12 S 0.350 0.939 0.458
S13 S 0.417 0.021 0.142
S14 S 0.422 0.140 0.697
S15 S 0.434 0.868 0.723
S16 S 0.486 0.654 0.640
S17 S 0.570 0.290 0.416
S18 S 0.571 0.126 0.283
S19 S 0.586 0.556 0.240
S20 S 0.587 0.717 0.373
S21 S 0.670 0.190 0.016
S22 S 0.722 0.974 0.935
S23 S 0.733 0.705 0.961
S24 S 0.741 0.820 0.514
S25 S 0.807 0.903 0.200
S26 S 0.813 0.898 0.705
S27 S 0.843 0.445 0.453
S28 S 0.849 0.440 0.958
S29 S 0.917 0.521 0.642
S30 S 0.922 0.640 0.198
S31 S 0.934 0.368 0.223
S32 S 0.986 0.153 0.141
I1 I 0.210 0.790 0.210
I2 I 0.447 0.553 0.947
I3 I 0.710 0.290 0.710
I4 I 0.947 0.053 0.447
```

Principal peaks in the range 2θ = 5–70°, by angle:
- 2θ 16.22, rel. 100, (0 2 2)
- 2θ 22.33, rel. 57, (2 2 2)
- 2θ 23.78, rel. 66, (1 0 3)
- 2θ 25.58, rel. 55, (2 0 -2)
- 2θ 29.04, rel. 43, (2 -2 0)
- 2θ 31.83, rel. 79, (3 0 1)
- 2θ 33.21, rel. 39, (3 3 0)
- 2θ 33.36, rel. 45, (2 4 4)
- 2θ 38.32, rel. 39, (1 0 -5)
- 2θ 39.19, rel. 55, (3 5 2)

Entry 2:
Theoretical X-ray powder pattern
Compound: KNaCaMg5Si8O24
Radiation: Cu Kα X-rays
Structure: a PBE-relaxed structure
Neutral-atom scattering factors, no anomalous dispersion.

Atomic structure:
```
data_KNaCaMg5Si8O24
_chemical_formula_sum 'K1 Na1 Ca1 Mg5 Si8 O24'
_cell_length_a 5.320
_cell_length_b 10.196
_cell_length_c 10.474
_cell_angle_alpha 60.89
_cell_angle_beta 82.72
_cell_angle_gamma 74.91
_symmetry_space_group_name_H-M 'P 1'
_symmetry_Int_Tables_number 1
loop_
_symmetry_equiv_pos_as_xyz
'x,y,z'
loop_
_atom_site_label
_atom_site_type_symbol
_atom_site_fract_x
_atom_site_fract_y
_atom_site_fract_z
K1 K 0.000 0.000 0.000
Na1 Na 0.469 0.792 0.444
Ca1 Ca 0.469 0.237 0.556
Mg1 Mg 0.468 0.423 0.183
Mg2 Mg 0.469 0.609 0.809
Mg3 Mg 0.969 0.337 0.354
Mg4 Mg 0.969 0.697 0.634
Mg5 Mg 0.970 0.516 0.996
Si1 Si 0.162 0.972 0.653
Si2 Si 0.164 0.627 0.341
Si3 Si 0.267 0.328 0.828
Si4 Si 0.269 0.158 0.168
Si5 Si 0.669 0.702 0.168
Si6 Si 0.670 0.872 0.827
Si7 Si 0.774 0.060 0.340
Si8 Si 0.776 0.403 0.654
O1 O 0.063 0.046 0.256
O2 O 0.071 0.302 0.735
O3 O 0.168 0.627 0.493
O4 O 0.171 0.129 0.507
O5 O 0.182 0.319 0.173
O6 O 0.182 0.494 0.822
O7 O 0.239 0.806 0.656
O8 O 0.246 0.459 0.345
O9 O 0.267 0.188 0.997
O10 O 0.283 0.603 0.997
O11 O 0.373 0.735 0.229
O12 O 0.376 0.973 0.762
O13 O 0.561 0.294 0.761
O14 O 0.564 0.064 0.230
O15 O 0.654 0.429 0.997
O16 O 0.667 0.843 0.997
O17 O 0.693 0.225 0.344
O18 O 0.699 0.566 0.656
O19 O 0.756 0.536 0.173
O20 O 0.756 0.712 0.821
O21 O 0.767 0.393 0.506
O22 O 0.771 0.909 0.493
O23 O 0.868 0.990 0.736
O24 O 0.875 0.726 0.255
```

Principal peaks in the range 2θ = 5–70°, by angle:
- 2θ 26.04, rel. 100, (-1 1 2)
- 2θ 26.60, rel. 76, (0 2 -1)
- 2θ 27.62, rel. 63, (0 3 2)
- 2θ 29.86, rel. 55, (1 -2 0)
- 2θ 31.86, rel. 47, (1 3 3)
- 2θ 32.68, rel. 94, (1 -1 2)
- 2θ 34.19, rel. 44, (1 0 3)
- 2θ 34.95, rel. 88, (2 2 1)
- 2θ 37.54, rel. 47, (1 3 4)
- 2θ 41.09, rel. 42, (1 -2 2)

Entry 3:
Theoretical X-ray powder pattern
Compound: SrMg3O4
Radiation: Cu Kα X-rays
Structure: a PBE-relaxed structure
Neutral-atom scattering factors, no anomalous dispersion.

Atomic structure:
```
data_SrMg3O4
_chemical_formula_sum 'Sr1 Mg3 O4'
_cell_length_a 2.792
_cell_length_b 2.792
_cell_length_c 11.258
_cell_angle_alpha 90.00
_cell_angle_beta 90.00
_cell_angle_gamma 90.00
_symmetry_space_group_name_H-M 'P 1'
_symmetry_Int_Tables_number 1
loop_
_symmetry_equiv_pos_as_xyz
'x,y,z'
loop_
_atom_site_label
_atom_site_type_symbol
_atom_site_fract_x
_atom_site_fract_y
_atom_site_fract_z
Sr1 Sr 0.000 0.000 0.000
Mg1 Mg 0.000 0.000 0.260
Mg2 Mg 0.000 0.000 0.500
Mg3 Mg 0.000 0.000 0.740
O1 O 0.500 0.500 0.144
O2 O 0.500 0.500 0.380
O3 O 0.500 0.500 0.620
O4 O 0.500 0.500 0.856
```

Principal peaks in the range 2θ = 5–70°, by angle:
- 2θ 7.85, rel. 100, (0 0 1)
- 2θ 15.74, rel. 24, (0 0 2)
- 2θ 31.79, rel. 14, (0 0 4)
- 2θ 32.06, rel. 26, (1 0 0)
- 2θ 33.06, rel. 20, (1 0 1)
- 2θ 35.90, rel. 19, (1 0 2)
- 2θ 40.26, rel. 20, (1 0 3)
- 2θ 45.78, rel. 98, (1 0 4)
- 2θ 45.97, rel. 51, (1 1 0)
- 2θ 67.04, rel. 15, (2 0 0)